Calculated powder XRD pattern
Compound: LuMgTlS3
Radiation: CuKα
Structure: a cell relaxed with PBE
Lines closer than 0.1° are merged.

Peak list (8 most intense, 2θ from 15° to 90°, in order of falling intensity)
2θ 20.85, 4.260 Å, rel. 100; 2θ 30.34, 2.946 Å, rel. 54; 2θ 33.76, 2.655 Å, rel. 46; 2θ 42.43, 2.130 Å, rel. 40; 2θ 24.53, 3.629 Å, rel. 36; 2θ 24.95, 3.569 Å, rel. 33; 2θ 45.20, 2.006 Å, rel. 25; 2θ 34.37, 2.609 Å, rel. 25

Crystal structure
```
LuMgTlS3
1.0
10.6190 0.0000 0.0000
0.0000 4.0107 0.0000
0.0000 0.0000 14.2774
Lu Mg Tl S
4 4 4 12
direct
0.0142 0.2500 0.2454
0.4858 0.7500 0.7454
0.5142 0.2500 0.2546
0.9858 0.7500 0.7546
0.2359 0.2500 0.7125
0.2641 0.7500 0.2125
0.7359 0.2500 0.7875
0.7641 0.7500 0.2875
0.2288 0.7500 0.4952
0.2712 0.2500 0.9952
0.7288 0.7500 0.0048
0.7712 0.2500 0.5048
0.0381 0.2500 0.6320
0.0705 0.7500 0.1274
0.2368 0.7500 0.8105
0.2632 0.2500 0.3105
0.4295 0.2500 0.6274
0.4619 0.7500 0.1320
0.5381 0.2500 0.8680
0.5705 0.7500 0.3726
0.7368 0.7500 0.6895
0.7632 0.2500 0.1895
0.9295 0.2500 0.8726
0.9619 0.7500 0.3680
```

***

Calculated powder XRD pattern
Compound: LuMgTl
Radiation: CuKα
Structure: a cell relaxed with PBE
Lines closer than 0.1° are merged.

Peak list (8 most intense, 2θ from 15° to 90°, in order of falling intensity)
2θ 34.00, 2.637 Å, rel. 100; 2θ 30.93, 2.891 Å, rel. 45; 2θ 23.97, 3.713 Å, rel. 33; 2θ 39.09, 2.304 Å, rel. 24; 2θ 42.03, 2.150 Å, rel. 23; 2θ 66.59, 1.404 Å, rel. 22; 2θ 42.16, 2.143 Å, rel. 19; 2θ 23.75, 3.746 Å, rel. 18

Crystal structure
```
LuMgTl
1.0
7.4251 0.0000 0.0000
-3.7126 6.4304 0.0000
0.0000 0.0000 4.6087
Lu Mg Tl
3 3 3
direct
0.0000 0.5667 0.0000
0.4333 0.4333 0.0000
0.5667 0.0000 0.0000
0.0000 0.2429 0.5000
0.2429 0.0000 0.5000
0.7571 0.7571 0.5000
0.0000 0.0000 0.0000
0.3333 0.6667 0.5000
0.6667 0.3333 0.5000
```

***

Calculated powder XRD pattern
Compound: Lu4Mo2N
Radiation: CuKα
Structure: a cell relaxed with PBE
Lines closer than 0.1° are merged.

Peak list (8 most intense, 2θ from 15° to 90°, in order of falling intensity)
2θ 33.02, 2.712 Å, rel. 100; 2θ 34.18, 2.623 Å, rel. 73; 2θ 33.84, 2.649 Å, rel. 70; 2θ 32.50, 2.755 Å, rel. 61; 2θ 25.21, 3.533 Å, rel. 59; 2θ 48.01, 1.895 Å, rel. 51; 2θ 48.26, 1.886 Å, rel. 51; 2θ 42.24, 2.139 Å, rel. 49

Crystal structure
```
Lu4Mo2N
1.0
4.6565 -5.4250 0.0000
4.6565 5.4250 0.0000
-0.0334 0.0000 3.1977
Lu Mo N
4 2 1
direct
0.1775 0.1775 0.5081
0.2340 0.7660 0.0000
0.7660 0.2340 0.0000
0.8225 0.8225 0.4919
0.0000 0.5000 0.5000
0.5000 0.0000 0.5000
0.0000 0.0000 0.0000
```

***

Calculated powder XRD pattern
Compound: Lu4Sn3Mo2N3
Radiation: CuKα
Structure: a cell relaxed with PBE
Lines closer than 0.1° are merged.

Peak list (8 most intense, 2θ from 15° to 90°, in order of falling intensity)
2θ 36.27, 2.477 Å, rel. 100; 2θ 36.49, 2.462 Å, rel. 49; 2θ 30.96, 2.888 Å, rel. 33; 2θ 37.65, 2.389 Å, rel. 29; 2θ 55.04, 1.668 Å, rel. 20; 2θ 68.41, 1.371 Å, rel. 14; 2θ 55.13, 1.666 Å, rel. 10; 2θ 68.77, 1.365 Å, rel. 9

Crystal structure
```
Lu4Sn3Mo2N3
1.0
4.9982 -2.8912 0.0000
4.9982 2.8912 0.0000
-3.2036 0.0000 14.3338
Lu Sn Mo N
8 6 4 6
direct
0.0222 0.2032 0.0868
0.1468 0.3023 0.4132
0.2032 0.0222 0.5868
0.3023 0.1468 0.9132
0.6977 0.8532 0.0868
0.7968 0.9778 0.4132
0.8532 0.6977 0.5868
0.9778 0.7968 0.9132
0.1131 0.8869 0.2500
0.2803 0.4155 0.7485
0.4155 0.2803 0.2485
0.5845 0.7197 0.7515
0.7197 0.5845 0.2515
0.8869 0.1131 0.7500
0.3792 0.5258 0.0820
0.4742 0.6208 0.4180
0.5258 0.3792 0.5820
0.6208 0.4742 0.9180
0.0000 0.5000 0.0000
0.1598 0.6701 0.5000
0.3299 0.8402 0.0000
0.5000 0.0000 0.5000
0.6701 0.1598 0.0000
0.8402 0.3299 0.5000
```

***

Calculated powder XRD pattern
Compound: Lu2SiMo
Radiation: CuKα
Structure: a cell relaxed with PBE
Lines closer than 0.1° are merged.

Peak list (8 most intense, 2θ from 15° to 90°, in order of falling intensity)
2θ 37.68, 2.387 Å, rel. 100; 2θ 68.02, 1.378 Å, rel. 35; 2θ 22.81, 3.898 Å, rel. 28; 2θ 54.35, 1.688 Å, rel. 17; 2θ 44.50, 2.036 Å, rel. 15; 2θ 80.46, 1.194 Å, rel. 11; 2θ 59.69, 1.549 Å, rel. 6; 2θ 84.98, 1.141 Å, rel. 5

Crystal structure
```
Lu2SiMo
1.0
0.0000 3.3761 3.3761
3.3761 0.0000 3.3761
3.3761 3.3761 0.0000
Lu Si Mo
2 1 1
direct
0.0000 0.0000 0.0000
0.2500 0.2500 0.2500
0.5000 0.5000 0.5000
0.7500 0.7500 0.7500
```

***

Calculated powder XRD pattern
Compound: LuPbNO
Radiation: CuKα
Structure: a cell relaxed with PBE
Lines closer than 0.1° are merged.

Peak list (8 most intense, 2θ from 15° to 90°, in order of falling intensity)
2θ 31.32, 2.856 Å, rel. 100; 2θ 31.65, 2.827 Å, rel. 20; 2θ 45.17, 2.007 Å, rel. 17; 2θ 56.15, 1.638 Å, rel. 17; 2θ 55.82, 1.647 Å, rel. 16; 2θ 65.32, 1.429 Å, rel. 9; 2θ 55.67, 1.651 Å, rel. 9; 2θ 55.51, 1.656 Å, rel. 9

Crystal structure
```
LuPbNO
1.0
5.7010 0.0000 0.0000
0.0000 8.1347 0.0000
0.0000 0.0000 5.6548
Lu Pb N O
4 4 4 4
direct
0.0056 0.1137 0.0000
0.4944 0.1137 0.5000
0.5056 0.8863 0.0000
0.9944 0.8863 0.5000
0.0186 0.6364 0.9928
0.4814 0.6364 0.4928
0.5186 0.3636 0.9928
0.9814 0.3636 0.4928
0.0756 0.6275 0.5735
0.4244 0.6275 0.0735
0.5756 0.3725 0.5735
0.9244 0.3725 0.0735
0.2478 0.9942 0.2488
0.2522 0.9942 0.7488
0.7478 0.0058 0.2488
0.7522 0.0058 0.7488
```

***

Calculated powder XRD pattern
Compound: Lu3Se2NO
Radiation: CuKα
Structure: a cell relaxed with PBE
Lines closer than 0.1° are merged.

Peak list (8 most intense, 2θ from 15° to 90°, in order of falling intensity)
2θ 31.38, 2.850 Å, rel. 100; 2θ 28.41, 3.141 Å, rel. 46; 2θ 38.16, 2.358 Å, rel. 31; 2θ 47.14, 1.928 Å, rel. 29; 2θ 38.39, 2.345 Å, rel. 22; 2θ 47.92, 1.898 Å, rel. 18; 2θ 41.87, 2.158 Å, rel. 16; 2θ 26.67, 3.343 Å, rel. 15

Crystal structure
```
Lu3Se2NO
1.0
7.5893 -1.8983 0.0000
7.5893 1.8983 0.0000
-1.2395 0.0000 9.3693
Lu Se N O
6 4 2 2
direct
0.0452 0.0452 0.2575
0.1957 0.1957 0.6755
0.3934 0.3934 0.0572
0.6066 0.6066 0.9428
0.8043 0.8043 0.3245
0.9548 0.9548 0.7425
0.2130 0.2130 0.1499
0.3712 0.3712 0.5282
0.6288 0.6288 0.4718
0.7870 0.7870 0.8501
0.0962 0.0962 0.8119
0.9038 0.9038 0.1881
0.4630 0.4630 0.8619
0.5370 0.5370 0.1381
```

***

Calculated powder XRD pattern
Compound: LuSiNO
Radiation: CuKα
Structure: a cell relaxed with PBE
Lines closer than 0.1° are merged.

Peak list (8 most intense, 2θ from 15° to 90°, in order of falling intensity)
2θ 26.20, 3.401 Å, rel. 100; 2θ 34.35, 2.611 Å, rel. 75; 2θ 59.34, 1.557 Å, rel. 31; 2θ 32.63, 2.744 Å, rel. 30; 2θ 46.81, 1.941 Å, rel. 29; 2θ 35.08, 2.558 Å, rel. 28; 2θ 54.44, 1.686 Å, rel. 27; 2θ 51.14, 1.786 Å, rel. 21

Crystal structure
```
LuSiNO
1.0
3.8813 0.0000 0.0000
0.0000 3.8813 0.0000
0.0000 0.0000 7.0568
Lu Si N O
2 2 2 2
direct
0.2500 0.2500 0.1443
0.7500 0.7500 0.8557
0.2500 0.7500 0.5000
0.7500 0.2500 0.5000
0.2500 0.2500 0.4965
0.7500 0.7500 0.5035
0.2500 0.7500 0.0000
0.7500 0.2500 0.0000
```